# 1
Theoretical PXRD pattern of MgMoO3 for Cu Kα, from DFT lattice parameters and positions (GGA+U).
No peak broadening, texture or thermal motion is included.

Cell: 5.403 7.850 5.280 Å, 90.00 90.00 90.00°
Space group Pnma (No. 62)
Inequivalent atoms, fractional coordinates:
Mg: 0.036 0.250 0.010
Mo: 0.000 0.000 0.500
O: 0.091 0.750 0.627
O: 0.180 0.570 0.167

Principal peaks in the range 10° ≤ 2θ ≤ 90°, by intensity:
2θ = 32.91°, d 2.721, I 100, (1 2 1); 2θ = 23.56°, d 3.776, I 58, (1 0 1); 2θ = 22.65°, d 3.925, I 33, (0 2 0); 2θ = 60.11°, d 1.539, I 27, (1 2 3); 2θ = 59.08°, d 1.564, I 24, (3 2 1); 2θ = 48.20°, d 1.888, I 24, (2 0 2); 2θ = 33.16°, d 2.702, I 24, (2 0 0); 2θ = 33.96°, d 2.640, I 22, (0 0 2); 2θ = 52.55°, d 1.741, I 15, (1 4 1); 2θ = 46.26°, d 1.963, I 14, (0 4 0); 2θ = 58.09°, d 1.588, I 13, (2 4 0); 2θ = 69.02°, d 1.361, I 13, (2 4 2)

---

# 2
Theoretical PXRD pattern of Nb2Co4O9 for Cu Kα, from DFT lattice parameters and positions (GGA+U).
No peak broadening, texture or thermal motion is included.

Cell: 5.225 5.226 14.299 Å, 90.02 90.01 119.99°
Space group P1 (No. 1)
Inequivalent atoms, fractional coordinates:
Nb: 0.000 0.000 0.000
Nb: 0.000 0.000 0.283
Nb: 0.000 0.001 0.500
Nb: 0.001 0.000 0.783
Co: 0.333 0.666 0.836
Co: 0.333 0.667 0.127
Co: 0.334 0.665 0.630
Co: 0.334 0.667 0.336
Co: 0.667 0.333 0.157
Co: 0.667 0.333 0.655
Co: 0.667 0.333 0.948
Co: 0.667 0.334 0.447
O: 0.000 0.290 0.391
O: 0.000 0.710 0.891
O: 0.022 0.343 0.726
O: 0.022 0.678 0.225
O: 0.290 0.000 0.392
O: 0.290 0.290 0.891
O: 0.322 0.343 0.225
O: 0.322 0.979 0.725
O: 0.342 0.323 0.558
O: 0.344 0.022 0.058
O: 0.656 0.678 0.726
O: 0.657 0.978 0.225
O: 0.677 0.021 0.557
O: 0.678 0.656 0.058
O: 0.710 0.000 0.891
O: 0.711 0.710 0.391
O: 0.978 0.322 0.058
O: 0.978 0.657 0.558

Principal peaks in the range 10° ≤ 2θ ≤ 90°, by intensity:
2θ = 31.90°, d 2.805, I 100, (0 1 4); 2θ = 34.32°, d 2.613, I 74, (1 1 0); 2θ = 51.93°, d 1.761, I 38, (1 -2 6); 2θ = 47.56°, d 1.912, I 38, (-2 2 4); 2θ = 59.96°, d 1.543, I 34, (-1 3 4); 2θ = 61.47°, d 1.508, I 28, (3 0 0); 2θ = 23.26°, d 3.824, I 22, (1 0 2); 2θ = 19.62°, d 4.525, I 13, (1 -1 0); 2θ = 81.23°, d 1.184, I 12, (-4 3 4); 2θ = 68.86°, d 1.363, I 12, (0 1 10); 2θ = 55.25°, d 1.663, I 11, (-1 1 8); 2θ = 39.33°, d 2.291, I 11, (1 1 -3)

---

# 3
Theoretical PXRD pattern of Fe8O9 for Cu Kα, from DFT lattice parameters and positions (GGA+U).
No peak broadening, texture or thermal motion is included.

Cell: 5.311 5.353 6.829 Å, 82.15 74.67 80.75°
Space group P-1 (No. 2)
Inequivalent atoms, fractional coordinates:
Fe: 0.050 0.108 0.286
Fe: 0.176 0.318 0.830
Fe: 0.290 0.551 0.382
Fe: 0.391 0.790 0.924
O: 0.000 0.000 0.000
O: 0.086 0.256 0.557
O: 0.228 0.451 0.112
O: 0.334 0.647 0.656
O: 0.423 0.880 0.216

Principal peaks in the range 10° ≤ 2θ ≤ 90°, by intensity:
2θ = 41.71°, d 2.166, I 100, (1 2 -1); 2θ = 41.46°, d 2.178, I 51, (2 -1 0); 2θ = 35.87°, d 2.504, I 44, (2 1 1); 2θ = 35.52°, d 2.527, I 23, (0 2 1); 2θ = 36.11°, d 2.487, I 22, (1 0 -2); 2θ = 60.05°, d 1.541, I 15, (2 3 2); 2θ = 59.90°, d 1.544, I 15, (1 -3 1); 2θ = 60.70°, d 1.526, I 14, (3 1 -1); 2θ = 60.30°, d 1.535, I 14, (3 0 3); 2θ = 60.17°, d 1.538, I 14, (-1 2 3); 2θ = 60.86°, d 1.522, I 13, (0 1 -4); 2θ = 76.02°, d 1.252, I 13, (4 2 2)